This entry pairs a crystal structure of CsRb2ScBr6 with its theoretical PXRD pattern. Radiation: Cu Kα X-rays. Structure: the GGA-PBE geometry in the Materials Project.

Cell: 12.098 12.098 12.098 Å, 90.00 90.00 90.00°
Space group Fm-3m (No. 225)
One atom of each set of equivalent atoms:
Cs: 0.000 0.000 0.000 x4
Rb: 0.250 0.250 0.250 x8
Sc: 0.000 0.000 0.500 x4
Br: 0.000 0.000 0.280 x24

Most intense lines, 2θ from 10° to 90°, by angle:
Position (°2θ), d_spacing, I (rel.), h k l
14.64, 6.049, 27.9, 2 0 0
20.77, 4.277, 32.7, 2 2 0
25.51, 3.492, 64.2, 2 2 2
29.54, 3.024, 100.0, 4 0 0
32.25, 2.775, 26.5, 3 3 1
42.26, 2.139, 65.2, 4 4 0



This entry pairs a crystal structure of CsRe3Se4Br2 with its theoretical PXRD pattern. Radiation: Cu Kα X-rays. Structure: the GGA-PBE geometry in the Materials Project.

Cell: 6.683 19.347 10.335 Å, 90.00 115.01 90.00°
Space group P2_1/c (No. 14)
One atom of each set of equivalent atoms:
Cs: 0.043 0.190 0.048 x4
Re: 0.141 0.578 0.108 x4
Re: 0.171 0.059 0.652 x4
Re: 0.214 0.005 0.430 x4
Se: 0.095 0.523 0.319 x4
Se: 0.179 0.625 0.889 x4
Se: 0.237 0.134 0.471 x4
Se: 0.489 0.015 0.303 x4
Br: 0.321 0.691 0.250 x4
Br: 0.399 0.142 0.859 x4

Most intense lines, 2θ from 10° to 90°, by angle:
Position (°2θ), d_spacing, I (rel.), h k l
10.49, 8.430, 100.0, 0 1 1
14.40, 6.151, 24.7, 1 1 -1
14.63, 6.056, 13.2, 1 0 0
16.69, 5.312, 16.6, 0 3 1
40.20, 2.243, 10.8, 1 6 2
41.80, 2.161, 11.0, 1 8 -2



This entry pairs a crystal structure of Cs3SbBr6 with its theoretical PXRD pattern. Radiation: Cu Kα X-rays. Structure: the GGA-PBE geometry in the Materials Project.

Cell: 12.461 12.461 12.461 Å, 90.00 90.00 90.00°
Space group Fm-3m (No. 225)
One atom of each set of equivalent atoms:
Cs: 0.000 0.000 0.000 x4
Cs: 0.250 0.250 0.250 x8
Sb: 0.000 0.000 0.500 x4
Br: 0.000 0.000 0.274 x24

Most intense lines, 2θ from 10° to 90°, by angle:
Position (°2θ), d_spacing, I (rel.), h k l
20.16, 4.406, 64.6, 2 2 0
24.75, 3.597, 47.4, 2 2 2
28.66, 3.115, 100.0, 4 0 0
35.29, 2.544, 26.4, 4 2 2
40.97, 2.203, 70.3, 4 4 0
67.20, 1.393, 27.2, 8 4 0



This entry pairs a crystal structure of Cs3Sb2Br9 with its theoretical PXRD pattern. Radiation: Cu Kα X-rays. Structure: the GGA-PBE geometry in the Materials Project.

Cell: 8.1413 8.1413 9.9126 Å, 90.00 90.00 120.00°
Space group P-3m1 (No. 164)
One atom of each set of equivalent atoms:
Cs: 0.0000 0.0000 0.0000 x1
Cs: 0.3333 0.6667 0.3222 x2
Sb: 0.3333 0.6667 0.8133 x2
Br: 0.0000 0.5000 0.0000 x3
Br: 0.1736 0.3472 0.6648 x6

Most intense lines, 2θ from 10° to 90°, by angle:
Position (°2θ), d_spacing, I (rel.), h k l
21.88, 4.063, 38.0, 1 1 0
26.84, 3.322, 64.4, 2 0 1
31.13, 2.873, 100.0, 0 2 2
44.51, 2.035, 36.6, 2 2 0
44.70, 2.027, 35.5, 2 0 4
52.80, 1.734, 27.8, 2 2 3



This entry pairs a crystal structure of Cs2TlSbBr6 with its theoretical PXRD pattern. Radiation: Cu Kα X-rays. Structure: the GGA-PBE geometry in the Materials Project.

Cell: 11.969 11.969 11.969 Å, 90.00 90.00 90.00°
Space group Fm-3m (No. 225)
One atom of each set of equivalent atoms:
Cs: 0.250 0.250 0.250 x8
Tl: 0.000 0.000 0.000 x4
Sb: 0.000 0.000 0.500 x4
Br: 0.000 0.000 0.264 x24

Most intense lines, 2θ from 10° to 90°, by angle:
Position (°2θ), d_spacing, I (rel.), h k l
20.99, 4.232, 74.2, 2 2 0
25.78, 3.455, 31.8, 2 2 2
29.86, 2.992, 100.0, 4 0 0
36.79, 2.443, 34.0, 4 2 2
42.73, 2.116, 72.6, 4 4 0
70.35, 1.338, 31.0, 8 4 0



This entry pairs a crystal structure of CsScBr3 with its theoretical PXRD pattern. Radiation: Cu Kα X-rays. Structure: the GGA-PBE geometry in the Materials Project.

Cell: 9.891 4.040 16.901 Å, 90.00 90.00 90.00°
Space group Pnma (No. 62)
One atom of each set of equivalent atoms:
Cs: 0.063 0.250 0.170 x4
Sc: 0.128 0.750 0.452 x4
Br: 0.037 0.750 0.605 x4
Br: 0.192 0.750 0.999 x4
Br: 0.243 0.250 0.809 x4

Most intense lines, 2θ from 10° to 90°, by angle:
Position (°2θ), d_spacing, I (rel.), h k l
27.89, 3.199, 30.3, 1 0 5
28.65, 3.116, 61.5, 1 1 3
29.04, 3.075, 100.0, 2 1 1
30.47, 2.934, 36.3, 2 1 2
34.54, 2.597, 29.8, 3 0 4
54.34, 1.688, 29.2, 4 1 6



This entry pairs a crystal structure of Cs3Sc2Br9 with its theoretical PXRD pattern. Radiation: Cu Kα X-rays. Structure: the GGA-PBE geometry in the Materials Project.

Cell: 7.9374 7.9374 20.0187 Å, 90.00 90.00 120.00°
Space group P6_3/mmc (No. 194)
One atom of each set of equivalent atoms:
Cs: 0.0000 0.0000 0.2500 x2
Cs: 0.3333 0.6667 0.0722 x4
Sc: 0.3333 0.6667 0.6582 x4
Br: 0.0293 0.5146 0.7500 x6
Br: 0.1732 0.3464 0.5924 x12

Most intense lines, 2θ from 10° to 90°, by angle:
Position (°2θ), d_spacing, I (rel.), h k l
26.72, 3.336, 52.9, 0 0 6
27.44, 3.251, 83.7, 2 0 2
29.23, 3.055, 100.0, 2 0 3
31.58, 2.833, 74.0, 2 0 4
45.72, 1.984, 50.6, 2 2 0
53.75, 1.705, 41.4, 2 2 6



This entry pairs a crystal structure of CsScBr3 with its theoretical PXRD pattern. Radiation: Cu Kα X-rays. Structure: the GGA-PBE geometry in the Materials Project.

Cell: 5.523 5.519 5.524 Å, 90.00 90.01 90.00°
Space group Pm (No. 6)
One atom of each set of equivalent atoms:
Cs: 0.000 0.000 0.000 x1
Sc: 0.504 0.500 0.509 x1
Br: 0.004 0.500 0.506 x1
Br: 0.500 0.500 0.009 x1
Br: 0.505 0.000 0.507 x1

Most intense lines, 2θ from 10° to 90°, by angle:
Position (°2θ), d_spacing, I (rel.), h k l
27.99, 3.188, 100.0, 1 1 1
32.43, 2.761, 82.1, 2 0 0
46.52, 1.952, 58.1, 2 2 0
55.16, 1.665, 43.8, 1 3 1
57.84, 1.594, 19.9, 2 2 -2
77.27, 1.235, 25.5, 2 4 0



This entry pairs a crystal structure of CsScBr3 with its theoretical PXRD pattern. Radiation: Cu Kα X-rays. Structure: the GGA-PBE geometry in the Materials Project.

Cell: 8.0350 8.0350 6.2673 Å, 90.00 90.00 120.00°
Space group P6_3/mmc (No. 194)
One atom of each set of equivalent atoms:
Cs: 0.3333 0.6667 0.2500 x2
Sc: 0.0000 0.0000 0.0000 x2
Br: 0.1632 0.3265 0.7500 x6

Most intense lines, 2θ from 10° to 90°, by angle:
Position (°2θ), d_spacing, I (rel.), h k l
28.48, 3.134, 18.7, 0 0 2
29.36, 3.042, 100.0, 2 0 1
38.67, 2.328, 23.9, 2 0 2
45.14, 2.009, 24.7, 2 2 0
50.99, 1.791, 20.7, 2 0 3
54.24, 1.691, 17.9, 2 2 2